This entry pairs a crystal structure of K5NaCe2S6O24 with its calculated X-ray powder pattern. Radiation: copper Kα. Structure: a crystal structure in the Materials Project, relaxed with GGA-PBE.
Peak positions follow from Bragg's law for the DFT cell and can differ from measured ones.

Main lines, low angle first (10° ≤ 2θ ≤ 90°):
2θ 11.47, I 38; 2θ 12.06, I 51; 2θ 13.77, I 38; 2θ 21.49, I 22; 2θ 27.27, I 28; 2θ 27.92, I 100; 2θ 29.20, I 30; 2θ 32.48, I 24; 2θ 33.05, I 31; 2θ 34.88, I 19

Structure:
Unit cell a=9.4995 b=9.4995 c=7.8597 alpha=100.15 beta=100.15 gamma=121.07
Sites, in units of the cell vectors:
K 0.0000 0.0000 0.0000
K 0.1210 0.4313 0.3799
K 0.4313 0.1210 0.3799
K 0.5687 0.8790 0.6201
K 0.8790 0.5687 0.6201
Na 0.0000 0.0000 0.5000
Ce 0.3566 0.6434 0.0000
Ce 0.6434 0.3566 0.0000
S 0.0388 0.7079 0.1822
S 0.2921 0.9612 0.8178
S 0.4046 0.4046 0.6966
S 0.5954 0.5954 0.3034
S 0.7079 0.0388 0.1822
S 0.9612 0.2921 0.8178
O 0.0618 0.4245 0.7305
O 0.0753 0.3570 0.0099
O 0.0829 0.8806 0.2778
O 0.1194 0.9171 0.7222
O 0.2041 0.7213 0.1881
O 0.2720 0.2720 0.5248
O 0.2787 0.7959 0.8119
O 0.3570 0.0753 0.0099
O 0.3578 0.3578 0.8609
O 0.4245 0.0618 0.7305
O 0.4252 0.5745 0.7109
O 0.4255 0.5748 0.2891
O 0.5745 0.4252 0.7109
O 0.5748 0.4255 0.2891
O 0.5755 0.9382 0.2695
O 0.6422 0.6422 0.1391
O 0.6430 0.9247 0.9901
O 0.7213 0.2041 0.1881
O 0.7280 0.7280 0.4752
O 0.7959 0.2787 0.8119
O 0.8806 0.0829 0.2778
O 0.9171 0.1194 0.7222
O 0.9247 0.6430 0.9901
O 0.9382 0.5755 0.2695